For SmB4Pt, DFT lattice parameters and positions (PBE) gives the theoretical X-ray powder pattern in this record (Cu Kα, 1.54184 Å).
Lines closer than 0.1° are merged.

Crystal structure
Unit cell a=3.162 b=5.293 c=8.091 alpha=90.00 beta=90.00 gamma=90.00
Space group Immm (No. 71)
One atom of each set of equivalent atoms:
Sm 0.000 0.000 0.000 (multiplicity 2)
B 0.000 0.323 0.259 (multiplicity 8)
Pt 0.000 0.000 0.500 (multiplicity 2)

The 6 most intense peaks (15° ≤ 2θ ≤ 90°), low angle first:
| index | two_theta | d (Å) | Rel. int. |
| --- | --- | --- | --- |
| 0 0 2 | 21.97 | 4.045 | 85 |
| 1 1 0 | 33.00 | 2.715 | 71 |
| 0 2 0 | 33.87 | 2.646 | 32 |
| 1 1 2 | 40.00 | 2.254 | 100 |
| 0 2 2 | 40.74 | 2.215 | 49 |
| 1 1 4 | 56.76 | 1.622 | 32 |



For BaSiAg2Se2S2, DFT lattice parameters and positions (PBE) gives the theoretical X-ray powder pattern in this record (Cu Kα, 1.54184 Å).
Lines closer than 0.1° are merged.

Crystal structure
Unit cell a=10.894 b=6.852 c=7.231 alpha=90.00 beta=130.55 gamma=90.00
Space group C2 (No. 5)
One atom of each set of equivalent atoms:
Ba 0.000 0.000 0.000 (multiplicity 2)
Si 0.000 0.480 0.500 (multiplicity 2)
Ag 0.189 0.997 0.682 (multiplicity 4)
Se 0.154 0.679 0.839 (multiplicity 4)
S 0.153 0.308 0.475 (multiplicity 4)

The 6 most intense peaks (15° ≤ 2θ ≤ 90°), low angle first:
| index | two_theta | d (Å) | Rel. int. |
| --- | --- | --- | --- |
| 1 1 0 | 16.80 | 5.278 | 43 |
| 1 1 1 | 27.88 | 3.200 | 73 |
| 3 1 -1 | 28.22 | 3.162 | 100 |
| 1 1 -2 | 29.80 | 2.998 | 56 |
| 2 0 1 | 34.59 | 2.593 | 34 |
| 2 2 -2 | 36.12 | 2.487 | 81 |



For TaO2, DFT lattice parameters and positions (PBE) gives the theoretical X-ray powder pattern in this record (Cu Kα, 1.54184 Å).
Lines closer than 0.1° are merged.

Crystal structure
Unit cell a=5.080 b=8.502 c=7.193 alpha=90.00 beta=90.00 gamma=90.00
Space group C222_1 (No. 20)
One atom of each set of equivalent atoms:
Ta 0.216 0.189 0.123 (multiplicity 8)
O 0.000 0.347 0.250 (multiplicity 4)
O 0.110 0.000 0.000 (multiplicity 4)
O 0.119 0.317 0.895 (multiplicity 8)

The 6 most intense peaks (15° ≤ 2θ ≤ 90°), low angle first:
| index | two_theta | d (Å) | Rel. int. |
| --- | --- | --- | --- |
| 0 2 0 | 20.90 | 4.251 | 57 |
| 1 1 1 | 23.86 | 3.729 | 28 |
| 0 2 1 | 24.32 | 3.660 | 34 |
| 1 1 2 | 32.26 | 2.775 | 100 |
| 1 3 1 | 38.47 | 2.340 | 28 |
| 0 2 3 | 43.35 | 2.087 | 29 |



For Te2Os, DFT lattice parameters and positions (PBE) gives the theoretical X-ray powder pattern in this record (Cu Kα, 1.54184 Å).
Lines closer than 0.1° are merged.

Crystal structure
Unit cell a=3.844 b=6.160 c=13.336 alpha=90.00 beta=90.00 gamma=90.00
Space group Pmn2_1 (No. 31)
One atom of each set of equivalent atoms:
Te 0.000 0.126 0.000 (multiplicity 2)
Te 0.000 0.371 0.460 (multiplicity 2)
Te 0.000 0.681 0.226 (multiplicity 2)
Te 0.000 0.815 0.765 (multiplicity 2)
Os 0.000 0.415 0.860 (multiplicity 2)
Os 0.000 0.971 0.366 (multiplicity 2)

The 6 most intense peaks (15° ≤ 2θ ≤ 90°), low angle first:
| index | two_theta | d (Å) | Rel. int. |
| --- | --- | --- | --- |
| 1 1 2 | 30.51 | 2.930 | 85 |
| 1 1 3 | 34.10 | 2.629 | 100 |
| 0 2 4 | 39.86 | 2.262 | 52 |
| 1 1 5 | 43.85 | 2.065 | 57 |
| 2 0 0 | 47.29 | 1.922 | 30 |
| 1 3 1 | 50.88 | 1.795 | 28 |



For Sn10PtSe10, DFT lattice parameters and positions (PBE) gives the theoretical X-ray powder pattern in this record (Cu Kα, 1.54184 Å).
Lines closer than 0.1° are merged.

Crystal structure
Unit cell a=11.609 b=11.746 c=8.621 alpha=90.00 beta=90.00 gamma=90.00
Space group Pbam (No. 55)
One atom of each set of equivalent atoms:
Sn 0.000 0.000 0.247 (multiplicity 4)
Sn 0.136 0.416 0.249 (multiplicity 8)
Sn 0.142 0.681 0.000 (multiplicity 4)
Sn 0.237 0.683 0.500 (multiplicity 4)
Pt 0.000 0.500 0.000 (multiplicity 2)
Se 0.012 0.324 0.500 (multiplicity 4)
Se 0.141 0.909 0.000 (multiplicity 4)
Se 0.174 0.186 0.195 (multiplicity 8)
Se 0.190 0.944 0.500 (multiplicity 4)

The 6 most intense peaks (15° ≤ 2θ ≤ 90°), low angle first:
| index | two_theta | d (Å) | Rel. int. |
| --- | --- | --- | --- |
| 2 1 2 | 26.85 | 3.321 | 100 |
| 1 4 0 | 31.42 | 2.847 | 77 |
| 3 1 2 | 32.00 | 2.797 | 76 |
| 3 3 2 | 38.82 | 2.320 | 37 |
| 0 0 4 | 41.91 | 2.155 | 45 |
| 1 5 2 | 44.62 | 2.031 | 53 |